This entry pairs a crystal structure of Fe8O9 with its computed powder X-ray diffraction pattern. Radiation: Cu Kα (λ = 1.5418 Å). Structure: a crystal structure in Alexandria, relaxed with GGA+U.
Kinematic intensities with the Lorentz-polarization factor, no thermal factor.

Principal peaks in the range 5 to 70 degrees two-theta, low angle first:
h k l  2theta  I/Imax
1 -1 0  17.58  11
2 1 0  35.63  100
0 2 -3  35.75  33
2 0 -3  41.19  76
2 -1 3  41.47  74
0 3 0  41.58  73
4 -1 0  59.72  21
-2 3 3  59.89  21
0 1 -6  60.03  42
2 2 3  60.17  41

Atomic structure:
```
data_Fe8O9
_space_group_name_H-M_alt 'P -1'
_space_group_IT_number 2
_cell_length_a 6.193
_cell_length_b 6.870
_cell_length_c 9.247
_cell_angle_alpha 102.77
_cell_angle_beta 90.37
_cell_angle_gamma 103.00
loop_
_space_group_symop_operation_xyz
'x,y,z'
'-x,-y,-z'
loop_
_atom_site_label
_atom_site_fract_x
_atom_site_fract_y
_atom_site_fract_z
Fe1 0.000 0.000 0.000
Fe2 0.004 0.008 0.331
Fe3 0.164 0.661 0.439
Fe4 0.168 0.672 0.780
Fe5 0.170 0.657 0.112
Fe6 0.336 0.337 0.890
Fe7 0.342 0.337 0.559
Fe8 0.489 0.016 0.332
Fe9 0.500 0.000 0.000
O1 0.061 0.344 0.050
O2 0.068 0.338 0.722
O3 0.077 0.345 0.411
O4 0.224 0.970 0.162
O5 0.237 0.989 0.505
O6 0.263 0.011 0.840
O7 0.391 0.670 0.600
O8 0.394 0.656 0.959
O9 0.406 0.690 0.289
```